Ac3B2Pt9: computed powder diffraction line list (Cu Kα, 1.54184 Å), based on the PBE geometry in Alexandria.
Peak positions follow from Bragg's law for the DFT cell and can differ from measured ones.

Most intense lines, 10° ≤ 2θ ≤ 90°, in order of rising 2θ:
33.58 deg, intensity 87, hkl 2 0 2
36.63 deg, intensity 100, hkl 2 0 3
38.76 deg, intensity 42, hkl 0 0 6
40.56 deg, intensity 52, hkl 2 0 4
55.05 deg, intensity 42, hkl 2 2 0
69.35 deg, intensity 39, hkl 2 2 6

Atomic structure:
Lattice parameters (Å, degrees): 6.6724 6.6724 13.9387 90.00 90.00 120.00
Space group P6_3/mmc (No. 194)
Asymmetric unit:
Ac 0.0000 0.0000 0.2500 (multiplicity 2)
Ac 0.3333 0.6667 0.0937 (multiplicity 4)
B 0.3333 0.6667 0.6334 (multiplicity 4)
Pt 0.0541 0.5270 0.7500 (multiplicity 6)
Pt 0.1602 0.3203 0.5789 (multiplicity 12)